For Zn2NiSbO6, a cell relaxed with GGA+U gives the computed PXRD pattern in this record (Cu Kα (λ = 1.5418 Å)).
No peak broadening, texture or thermal motion is included.

Structure:
a b c (Å): 5.269 7.647 5.320
angles (deg): 90.00 92.56 90.00
Space group P2_1/m (No. 11)
Symmetry-distinct sites (fractional):
Zn  0.016  0.250  0.038 [2 per cell]
Zn  0.448  0.750  0.486 [2 per cell]
Ni  0.000  0.000  0.500 [2 per cell]
Sb  0.500  0.000  0.000 [2 per cell]
O  0.084  0.750  0.603 [2 per cell]
O  0.183  0.567  0.160 [4 per cell]
O  0.328  0.062  0.670 [4 per cell]
O  0.413  0.250  0.127 [2 per cell]

Principal peaks in the range 5° ≤ 2θ ≤ 70°, by angle:
(1 2 -1), 2θ 33.12, I 100
(0 0 2), 2θ 33.73, I 46
(1 2 1), 2θ 33.91, I 86
(2 0 0), 2θ 34.07, I 44
(0 4 0), 2θ 47.55, I 48
(2 0 2), 2θ 49.84, I 19
(1 2 -3), 2θ 59.44, I 23
(0 4 2), 2θ 59.57, I 21
(2 4 0), 2θ 59.84, I 42
(1 2 3), 2θ 60.94, I 20